Record 1
This entry pairs a crystal structure of Ni2TeRu with its computed powder diffraction line list. Radiation: a wavelength of 1.5418 Å. Structure: a crystal structure in Alexandria, relaxed with PBE.
Neutral-atom scattering factors, no anomalous dispersion.

Atomic structure:
```
data_Ni2TeRu
_cell_length_a 3.238
_cell_length_b 3.252
_cell_length_c 5.474
_cell_angle_alpha 90.00
_cell_angle_beta 90.00
_cell_angle_gamma 90.00
_space_group_name_H-M_alt 'P 1'
_space_group_IT_number 1
loop_
_space_group_symop_operation_xyz
'x,y,z'
loop_
_atom_site_label
_atom_site_fract_x
_atom_site_fract_y
_atom_site_fract_z
Ni1 0.000 0.000 0.000
Ni2 0.500 0.500 0.201
Te1 0.500 0.500 0.732
Ru1 0.000 0.000 0.462
```

Largest 10 diffraction maxima, in order of falling intensity, 2θ from 15° to 90°:
| d [Å] | I/Imax |
| --- | --- |
| 2.092 | 100 |
| 2.294 | 69 |
| 1.283 | 19 |
| 1.281 | 19 |
| 1.175 | 13 |
| 1.626 | 11 |
| 1.619 | 11 |
| 2.796 | 8 |
| 2.787 | 8 |
| 1.147 | 7 |

=====

Record 2
This entry pairs a crystal structure of ThNi3Ru with its computed powder diffraction line list. Radiation: a wavelength of 1.5418 Å. Structure: a crystal structure in Alexandria, relaxed with PBE.
Neutral-atom scattering factors, no anomalous dispersion.

Atomic structure:
```
data_ThNi3Ru
_cell_length_a 4.870
_cell_length_b 7.183
_cell_length_c 4.949
_cell_angle_alpha 90.00
_cell_angle_beta 90.00
_cell_angle_gamma 90.00
_space_group_name_H-M_alt 'P 1'
_space_group_IT_number 1
loop_
_space_group_symop_operation_xyz
'x,y,z'
loop_
_atom_site_label
_atom_site_fract_x
_atom_site_fract_y
_atom_site_fract_z
Th1 0.000 0.000 0.000
Th2 0.500 0.500 0.000
Ni1 0.000 0.500 0.000
Ni2 0.002 0.171 0.500
Ni3 0.498 0.671 0.500
Ni4 0.500 0.000 0.000
Ni5 0.502 0.329 0.500
Ni6 0.998 0.829 0.500
Ru1 0.000 0.500 0.500
Ru2 0.500 0.000 0.500
```

Largest 10 diffraction maxima, in order of falling intensity, 2θ from 15° to 90°:
| d [Å] | I/Imax |
| --- | --- |
| 1.971 | 100 |
| 3.125 | 93 |
| 3.592 | 88 |
| 2.474 | 87 |
| 2.435 | 83 |
| 2.907 | 65 |
| 1.736 | 59 |
| 2.038 | 37 |
| 1.867 | 36 |
| 2.015 | 36 |

=====

Record 3
This entry pairs a crystal structure of Th4NiRu with its computed powder diffraction line list. Radiation: a wavelength of 1.5418 Å. Structure: a crystal structure in Alexandria, relaxed with PBE.
Neutral-atom scattering factors, no anomalous dispersion.

Atomic structure:
```
data_Th4NiRu
_cell_length_a 7.065
_cell_length_b 7.065
_cell_length_c 6.091
_cell_angle_alpha 90.00
_cell_angle_beta 90.00
_cell_angle_gamma 90.00
_space_group_name_H-M_alt 'P 1'
_space_group_IT_number 1
loop_
_space_group_symop_operation_xyz
'x,y,z'
loop_
_atom_site_label
_atom_site_fract_x
_atom_site_fract_y
_atom_site_fract_z
Th1 0.168 0.330 0.000
Th2 0.168 0.670 0.500
Th3 0.330 0.168 0.500
Th4 0.330 0.832 0.000
Th5 0.670 0.168 0.000
Th6 0.670 0.832 0.500
Th7 0.832 0.330 0.500
Th8 0.832 0.670 0.000
Ni1 0.500 0.500 0.250
Ni2 0.500 0.500 0.750
Ru1 0.000 0.000 0.250
Ru2 0.000 0.000 0.750
```

Largest 10 diffraction maxima, in order of falling intensity, 2θ from 15° to 90°:
| d [Å] | I/Imax |
| --- | --- |
| 2.805 | 100 |
| 2.307 | 27 |
| 1.708 | 24 |
| 1.649 | 23 |
| 2.234 | 22 |
| 3.046 | 18 |
| 1.461 | 18 |
| 2.600 | 13 |
| 1.309 | 11 |
| 3.532 | 9 |

=====

Record 4
This entry pairs a crystal structure of Ti2Ni3Ru with its computed powder diffraction line list. Radiation: a wavelength of 1.5418 Å. Structure: a crystal structure in Alexandria, relaxed with PBE.
Neutral-atom scattering factors, no anomalous dispersion.

Atomic structure:
```
data_Ti2Ni3Ru
_cell_length_a 7.624
_cell_length_b 7.624
_cell_length_c 7.624
_cell_angle_alpha 115.95
_cell_angle_beta 115.95
_cell_angle_gamma 97.17
_space_group_name_H-M_alt 'P 1'
_space_group_IT_number 1
loop_
_space_group_symop_operation_xyz
'x,y,z'
loop_
_atom_site_label
_atom_site_fract_x
_atom_site_fract_y
_atom_site_fract_z
Ti1 0.261 0.324 0.563
Ti2 0.261 0.698 0.937
Ti3 0.302 0.739 0.563
Ti4 0.324 0.261 0.063
Ti5 0.676 0.739 0.937
Ti6 0.698 0.261 0.437
Ti7 0.739 0.302 0.063
Ti8 0.739 0.676 0.437
Ni1 0.000 0.500 0.500
Ni2 0.102 0.352 0.204
Ni3 0.102 0.898 0.750
Ni4 0.352 0.102 0.704
Ni5 0.352 0.648 0.250
Ni6 0.500 0.000 0.000
Ni7 0.500 0.500 0.000
Ni8 0.500 0.500 0.500
Ni9 0.648 0.352 0.750
Ni10 0.648 0.898 0.296
Ni11 0.898 0.102 0.250
Ni12 0.898 0.648 0.796
Ru1 0.047 0.297 0.750
Ru2 0.297 0.047 0.250
Ru3 0.703 0.953 0.750
Ru4 0.953 0.703 0.250
```

Largest 10 diffraction maxima, in order of falling intensity, 2θ from 15° to 90°:
| d [Å] | I/Imax |
| --- | --- |
| 2.189 | 100 |
| 2.021 | 91 |
| 2.140 | 66 |
| 1.891 | 61 |
| 2.462 | 55 |
| 2.103 | 34 |
| 1.866 | 29 |
| 3.782 | 25 |
| 1.261 | 25 |
| 1.957 | 25 |

=====

Record 5
This entry pairs a crystal structure of Ti4Ni3Ru with its computed powder diffraction line list. Radiation: a wavelength of 1.5418 Å. Structure: a crystal structure in Alexandria, relaxed with PBE.
Neutral-atom scattering factors, no anomalous dispersion.

Atomic structure:
```
data_Ti4Ni3Ru
_cell_length_a 4.268
_cell_length_b 4.268
_cell_length_c 6.114
_cell_angle_alpha 90.00
_cell_angle_beta 90.00
_cell_angle_gamma 90.00
_space_group_name_H-M_alt 'P 1'
_space_group_IT_number 1
loop_
_space_group_symop_operation_xyz
'x,y,z'
loop_
_atom_site_label
_atom_site_fract_x
_atom_site_fract_y
_atom_site_fract_z
Ti1 0.000 0.500 0.247
Ti2 0.000 0.500 0.753
Ti3 0.500 0.000 0.247
Ti4 0.500 0.000 0.753
Ni1 0.000 0.000 0.000
Ni2 0.000 0.000 0.500
Ni3 0.500 0.500 0.000
Ru1 0.500 0.500 0.500
```

Largest 10 diffraction maxima, in order of falling intensity, 2θ from 15° to 90°:
| d [Å] | I/Imax |
| --- | --- |
| 2.148 | 100 |
| 2.134 | 49 |
| 1.235 | 29 |
| 1.509 | 15 |
| 1.243 | 15 |
| 1.528 | 8 |
| 3.018 | 7 |
| 3.057 | 3 |
| 1.750 | 3 |
| 3.500 | 2 |

=====

Record 6
This entry pairs a crystal structure of TiZnNiRu with its computed powder diffraction line list. Radiation: a wavelength of 1.5418 Å. Structure: a crystal structure in Alexandria, relaxed with PBE.
Neutral-atom scattering factors, no anomalous dispersion.

Atomic structure:
```
data_TiZnNiRu
_cell_length_a 4.242
_cell_length_b 4.242
_cell_length_c 4.242
_cell_angle_alpha 60.00
_cell_angle_beta 60.00
_cell_angle_gamma 60.00
_space_group_name_H-M_alt 'P 1'
_space_group_IT_number 1
loop_
_space_group_symop_operation_xyz
'x,y,z'
loop_
_atom_site_label
_atom_site_fract_x
_atom_site_fract_y
_atom_site_fract_z
Ti1 0.000 0.000 0.000
Zn1 0.500 0.500 0.500
Ni1 0.750 0.750 0.750
Ru1 0.250 0.250 0.250
```

Largest 10 diffraction maxima, in order of falling intensity, 2θ from 15° to 90°:
| d [Å] | I/Imax |
| --- | --- |
| 2.121 | 100 |
| 1.225 | 30 |
| 1.500 | 16 |
| 3.464 | 6 |
| 3.000 | 4 |
| 1.809 | 3 |
| 1.342 | 1 |
| 1.376 | 1 |
| 1.732 | 1 |
| 1.155 | 1 |